# Y5Ga4
Theoretical X-ray powder pattern, λ = 1.5418 Å (Cu Kα). Input: a cell relaxed with GGA-PBE.
Peak positions follow from Bragg's law for the DFT cell and can differ from measured ones.

Atomic structure:
a = 5.904 Å, b = 5.904 Å, c = 10.039 Å
α = 110.90°, β = 110.90°, γ = 44.11°
Positions (direct):
Y  0.000  0.000  0.000
Y  0.102  0.102  0.391
Y  0.243  0.243  0.825
Y  0.757  0.757  0.175
Y  0.898  0.898  0.609
Ga  0.383  0.383  0.391
Ga  0.451  0.451  0.167
Ga  0.549  0.549  0.833
Ga  0.617  0.617  0.609

Main lines, in order of rising 2θ (2θ from 10° to 90°):
2θ/deg  I (rel.)
31.5  100
31.8  92
33.0  33
33.6  75
37.1  55
37.7  49
40.5  24
40.7  60
49.2  23
63.3  26